1.
Diffraction record for TlHgF3. The PXRD pattern is computed, not measured: it uses a DFT-relaxed cell (PBE, the Materials Project) and copper Kα.
Peak positions follow from Bragg's law for the DFT cell and can differ from measured ones.

Structural model:
a b c (Å): 6.379 13.144 9.051
angles (deg): 90.00 90.00 90.00
Element x y z (fractional)
Tl  0.241  0.119  0.000
Tl  0.249  0.127  0.500
Tl  0.251  0.627  0.500
Tl  0.259  0.619  0.000
Tl  0.741  0.381  0.000
Tl  0.749  0.373  0.500
Tl  0.751  0.873  0.500
Tl  0.759  0.881  0.000
Hg  0.244  0.875  0.250
Hg  0.244  0.875  0.750
Hg  0.256  0.375  0.250
Hg  0.256  0.375  0.750
Hg  0.744  0.625  0.250
Hg  0.744  0.625  0.750
Hg  0.756  0.125  0.250
Hg  0.756  0.125  0.750
F  0.000  0.000  0.191
F  0.000  0.000  0.809
F  0.000  0.500  0.204
F  0.000  0.500  0.796
F  0.041  0.239  0.301
F  0.041  0.239  0.699
F  0.197  0.916  0.500
F  0.210  0.830  0.000
F  0.290  0.330  0.000
F  0.303  0.416  0.500
F  0.459  0.739  0.301
F  0.459  0.739  0.699
F  0.500  0.000  0.204
F  0.500  0.000  0.796
F  0.500  0.500  0.191
F  0.500  0.500  0.809
F  0.541  0.261  0.301
F  0.541  0.261  0.699
F  0.697  0.584  0.500
F  0.710  0.670  0.000
F  0.790  0.170  0.000
F  0.803  0.084  0.500
F  0.959  0.761  0.301
F  0.959  0.761  0.699

The 8 most intense peaks (2θ from 10° to 90°), low angle first:
d = 3.286 Å, 2θ 27.14, intensity 24
d = 3.218 Å, 2θ 27.72, intensity 100
d = 3.190 Å, 2θ 27.97, intensity 24
d = 2.289 Å, 2θ 39.37, intensity 27
d = 2.263 Å, 2θ 39.84, intensity 12
d = 1.884 Å, 2θ 48.31, intensity 25
d = 1.846 Å, 2θ 49.36, intensity 34
d = 1.609 Å, 2θ 57.25, intensity 16

---

2.
Diffraction record for Zr3Cd2. The PXRD pattern is computed, not measured: it uses a DFT-relaxed cell (PBE, the Materials Project) and copper Kα.
Peak positions follow from Bragg's law for the DFT cell and can differ from measured ones.

Structural model:
a b c (Å): 5.606 5.606 5.236
angles (deg): 90.00 90.00 90.00
Element x y z (fractional)
Zr  0.000  0.000  0.000
Zr  0.000  0.500  0.000
Zr  0.500  0.000  0.000
Cd  0.500  0.500  0.000
Cd  0.500  0.500  0.500

The 8 most intense peaks (2θ from 10° to 90°), low angle first:
d = 5.606 Å, 2θ 15.81, intensity 39
d = 5.236 Å, 2θ 16.93, intensity 74
d = 2.803 Å, 2θ 31.93, intensity 100
d = 2.618 Å, 2θ 34.25, intensity 41
d = 2.471 Å, 2θ 36.35, intensity 42
d = 1.982 Å, 2θ 45.78, intensity 36
d = 1.913 Å, 2θ 47.52, intensity 64
d = 1.580 Å, 2θ 58.40, intensity 34

---

3.
Diffraction record for Mg3Sb. The PXRD pattern is computed, not measured: it uses a DFT-relaxed cell (PBE, the Materials Project) and copper Kα.
Peak positions follow from Bragg's law for the DFT cell and can differ from measured ones.

Structural model:
a b c (Å): 6.104 6.104 6.104
angles (deg): 148.79 63.29 126.45
Element x y z (fractional)
Mg  0.000  0.000  0.000
Mg  0.417  0.667  0.750
Mg  0.917  0.667  0.250
Sb  0.495  0.995  0.500

The 8 most intense peaks (2θ from 10° to 90°), low angle first:
d = 5.197 Å, 2θ 17.06, intensity 47
d = 4.861 Å, 2θ 18.25, intensity 80
d = 3.131 Å, 2θ 28.51, intensity 27
d = 2.819 Å, 2θ 31.74, intensity 39
d = 2.598 Å, 2θ 34.52, intensity 36
d = 2.478 Å, 2θ 36.25, intensity 100
d = 2.430 Å, 2θ 36.99, intensity 49
d = 1.911 Å, 2θ 47.59, intensity 25

---

4.
Diffraction record for Ho3Ga9Pt2. The PXRD pattern is computed, not measured: it uses a DFT-relaxed cell (PBE, the Materials Project) and copper Kα.
Peak positions follow from Bragg's law for the DFT cell and can differ from measured ones.

Structural model:
a b c (Å): 8.162 8.162 8.162
angles (deg): 149.62 107.93 80.18
Element x y z (fractional)
Ho  0.000  0.000  0.000
Ho  0.304  0.304  0.000
Ho  0.696  0.696  0.000
Ga  0.025  0.656  0.369
Ga  0.142  0.861  0.282
Ga  0.287  0.656  0.631
Ga  0.421  0.139  0.282
Ga  0.500  0.000  0.500
Ga  0.579  0.861  0.718
Ga  0.713  0.344  0.369
Ga  0.858  0.139  0.718
Ga  0.975  0.344  0.631
Pt  0.309  0.500  0.809
Pt  0.691  0.500  0.191

The 8 most intense peaks (2θ from 10° to 90°), low angle first:
d = 3.097 Å, 2θ 28.83, intensity 14
d = 2.535 Å, 2θ 35.41, intensity 100
d = 2.439 Å, 2θ 36.85, intensity 17
d = 2.371 Å, 2θ 37.95, intensity 24
d = 2.138 Å, 2θ 42.27, intensity 27
d = 2.081 Å, 2θ 43.48, intensity 15
d = 1.635 Å, 2θ 56.26, intensity 13
d = 1.491 Å, 2θ 62.25, intensity 10

---

5.
Diffraction record for Te2MoW2Se2S2. The PXRD pattern is computed, not measured: it uses a DFT-relaxed cell (PBE, the Materials Project) and copper Kα.
Peak positions follow from Bragg's law for the DFT cell and can differ from measured ones.

Structural model:
a b c (Å): 3.349 3.349 31.006
angles (deg): 90.00 90.00 120.00
Element x y z (fractional)
Te  0.000  0.000  0.000
Te  0.000  0.000  0.123
Mo  0.000  0.000  0.830
W  0.667  0.333  0.061
W  0.667  0.333  0.599
Se  0.667  0.333  0.776
Se  0.667  0.333  0.884
S  0.000  0.000  0.550
S  0.000  0.000  0.648

The 8 most intense peaks (2θ from 10° to 90°), low angle first:
d = 7.752 Å, 2θ 11.42, intensity 100
d = 2.901 Å, 2θ 30.83, intensity 29
d = 2.717 Å, 2θ 32.97, intensity 21
d = 2.529 Å, 2θ 35.49, intensity 46
d = 2.427 Å, 2θ 37.05, intensity 54
d = 2.118 Å, 2θ 42.69, intensity 20
d = 2.021 Å, 2θ 44.84, intensity 38
d = 1.674 Å, 2θ 54.84, intensity 28

---

6.
Diffraction record for BaC. The PXRD pattern is computed, not measured: it uses a DFT-relaxed cell (PBE, the Materials Project) and copper Kα.
Peak positions follow from Bragg's law for the DFT cell and can differ from measured ones.

Structural model:
a b c (Å): 4.255 4.255 4.255
angles (deg): 60.00 60.00 60.00
Element x y z (fractional)
Ba  0.000  0.000  0.000
C  0.500  0.500  0.500

The 8 most intense peaks (2θ from 10° to 90°), low angle first:
d = 3.474 Å, 2θ 25.64, intensity 100
d = 3.009 Å, 2θ 29.69, intensity 74
d = 2.127 Å, 2θ 42.49, intensity 54
d = 1.814 Å, 2θ 50.29, intensity 49
d = 1.737 Å, 2θ 52.70, intensity 19
d = 1.380 Å, 2θ 67.90, intensity 21
d = 1.345 Å, 2θ 69.91, intensity 24
d = 1.228 Å, 2θ 77.75, intensity 18